[1]
Structure and theoretical powder diffraction line list of BaCeVO6 (a GGA+U-relaxed structure; Cu Kα (weighted mean of Kα1 and Kα2)).
Neutral-atom scattering factors, no anomalous dispersion.

Cell and atoms:
Cell lengths 5.3418, 10.1792, 5.6789 Å; angles 90.00, 93.50, 90.00 degrees
Space group C2 (No. 5)
Inequivalent atoms, fractional coordinates:
Ba1 0.0000 0.0000 0.0000 [2 per cell]
Ce1 0.0000 0.3177 0.5000 [2 per cell]
V1 0.0000 0.6318 0.5000 [2 per cell]
O1 0.1352 0.5117 0.3208 [4 per cell]
O2 0.1772 0.7943 0.2942 [4 per cell]
O3 0.2324 0.1760 0.2965 [4 per cell]

Top 6 peaks for 10° ≤ 2θ ≤ 80°, in order of rising 2θ:
d 3.787, I = 91
d 3.729, I = 100
d 3.536, I = 87
d 2.863, I = 63
d 2.048, I = 45
d 1.982, I = 24


[2]
Structure and theoretical powder diffraction line list of BaCeV2O8 (a GGA+U-relaxed structure; Cu Kα (weighted mean of Kα1 and Kα2)).
Neutral-atom scattering factors, no anomalous dispersion.

Cell and atoms:
Cell lengths 5.8112, 5.8112, 7.6341 Å; angles 90.00, 90.00, 120.00 degrees
Space group P-3 (No. 147)
Inequivalent atoms, fractional coordinates:
Ba1 0.0000 0.0000 0.0000 [1 per cell]
Ce1 0.0000 0.0000 0.5000 [1 per cell]
V1 0.3333 0.6667 0.7668 [2 per cell]
O1 0.1632 0.8299 0.6947 [6 per cell]
O2 0.3333 0.6667 0.9858 [2 per cell]

Top 6 peaks for 10° ≤ 2θ ≤ 80°, in order of rising 2θ:
d 5.033, I = 98
d 4.202, I = 44
d 3.041, I = 100
d 2.906, I = 73
d 2.101, I = 50
d 1.702, I = 37


[3]
Structure and theoretical powder diffraction line list of Ba4CeV3O12 (a GGA+U-relaxed structure; Cu Kα (weighted mean of Kα1 and Kα2)).
Neutral-atom scattering factors, no anomalous dispersion.

Cell and atoms:
Cell lengths 8.2473, 8.2473, 8.2473 Å; angles 90.00, 90.00, 90.00 degrees
Space group Im-3m (No. 229)
Inequivalent atoms, fractional coordinates:
Ba1 0.2500 0.2500 0.2500 [8 per cell]
Ce1 0.0000 0.0000 0.0000 [2 per cell]
V1 0.0000 0.0000 0.5000 [6 per cell]
O1 0.0000 0.0000 0.2679 [12 per cell]
O2 0.0000 0.2500 0.5000 [12 per cell]

Top 6 peaks for 10° ≤ 2θ ≤ 80°, in order of rising 2θ:
d 2.916, I = 100
d 2.381, I = 12
d 2.062, I = 32
d 1.683, I = 39
d 1.458, I = 20
d 1.304, I = 17


Copy entry 1 word for word.
Structure and theoretical powder diffraction line list of BaCeVO6 (a GGA+U-relaxed structure; Cu Kα (weighted mean of Kα1 and Kα2)).
Neutral-atom scattering factors, no anomalous dispersion.

Cell and atoms:
Cell lengths 5.3418, 10.1792, 5.6789 Å; angles 90.00, 93.50, 90.00 degrees
Space group C2 (No. 5)
Inequivalent atoms, fractional coordinates:
Ba1 0.0000 0.0000 0.0000 [2 per cell]
Ce1 0.0000 0.3177 0.5000 [2 per cell]
V1 0.0000 0.6318 0.5000 [2 per cell]
O1 0.1352 0.5117 0.3208 [4 per cell]
O2 0.1772 0.7943 0.2942 [4 per cell]
O3 0.2324 0.1760 0.2965 [4 per cell]

Top 6 peaks for 10° ≤ 2θ ≤ 80°, in order of rising 2θ:
d 3.787, I = 91
d 3.729, I = 100
d 3.536, I = 87
d 2.863, I = 63
d 2.048, I = 45
d 1.982, I = 24